The following is a calculated powder diffractogram of Ti2VHO6. It was derived from a GGA+U-relaxed structure, using Cu Ka.
Intensities are scaled so that the largest is 100.

Structural model:
```
Ti2VHO6
1.0
8.634 0.000 0.000
0.000 4.622 0.000
-0.478 0.000 10.111
Ti V H O
8 4 4 24
Direct
0.094 0.003 0.380
0.094 0.497 0.880
0.226 0.030 0.121
0.226 0.470 0.621
0.774 0.530 0.379
0.774 0.970 0.879
0.906 0.503 0.120
0.906 0.997 0.620
0.409 0.518 0.354
0.409 0.982 0.854
0.591 0.018 0.146
0.591 0.482 0.646
0.406 0.578 0.068
0.406 0.922 0.568
0.594 0.078 0.432
0.594 0.422 0.932
0.073 0.221 0.204
0.073 0.279 0.704
0.090 0.709 0.041
0.090 0.791 0.541
0.239 0.209 0.948
0.239 0.291 0.448
0.245 0.696 0.786
0.245 0.804 0.286
0.409 0.238 0.693
0.409 0.262 0.193
0.415 0.714 0.546
0.415 0.786 0.046
0.585 0.214 0.954
0.585 0.286 0.454
0.591 0.738 0.807
0.591 0.762 0.307
0.755 0.196 0.714
0.755 0.304 0.214
0.761 0.709 0.552
0.761 0.791 0.052
0.910 0.209 0.459
0.910 0.291 0.959
0.927 0.721 0.296
0.927 0.779 0.796
```

Principal peaks in the range 5 to 70 degrees two-theta, in order of rising 2θ:
23.7 deg, d 3.750, intensity 100, (1 1 1)
30.0 deg, d 2.981, intensity 93, (2 1 1)
34.1 deg, d 2.626, intensity 39, (1 1 -3)
35.5 deg, d 2.528, intensity 22, (0 0 4)
40.7 deg, d 2.218, intensity 23, (0 1 4)
53.5 deg, d 1.713, intensity 36, (3 2 -2)
53.7 deg, d 1.706, intensity 32, (0 2 4)
54.6 deg, d 1.681, intensity 36, (3 2 2)
54.8 deg, d 1.676, intensity 21, (2 1 5)
62.6 deg, d 1.484, intensity 20, (3 0 -6)